Record 1
Diffraction record for Hf3Tc2Mo. The powder XRD pattern is simulated, not measured: it uses a DFT-relaxed cell (PBE, Alexandria) and Cu Kα X-rays.

Atomic structure:
```
Hf3Tc2Mo
1.0
3.277 0.000 0.000
0.000 3.277 0.000
0.000 0.000 9.879
Hf Tc Mo
3 2 1
Cartesian
0.000 0.000 0.000
0.000 0.000 3.231
0.000 0.000 6.648
1.639 1.639 1.640
1.639 1.639 8.239
1.639 1.639 4.939
```

Top 6 peaks for 2θ = 5–70°, low angle first:
- 27.08 deg, I = 3
- 27.21 deg, I = 6
- 38.80 deg, I = 100
- 48.01 deg, I = 3
- 55.84 deg, I = 6
- 56.13 deg, I = 11



Record 2
Diffraction record for GdSe2. The powder XRD pattern is simulated, not measured: it uses a DFT-relaxed cell (PBE, Alexandria) and Cu Kα X-rays.

Atomic structure:
```
GdSe2
1.0
4.100 0.000 0.000
0.000 4.100 0.000
0.000 0.000 8.390
Gd Se
2 4
Cartesian
1.025 1.025 1.905
3.075 3.075 6.485
1.025 1.025 7.287
1.025 3.075 4.195
3.075 1.025 4.195
3.075 3.075 1.103
```

Top 6 peaks for 2θ = 5–70°, low angle first:
- 24.16 deg, I = 51
- 30.85 deg, I = 37
- 32.68 deg, I = 65
- 37.72 deg, I = 100
- 38.98 deg, I = 60
- 44.18 deg, I = 57



Record 3
Diffraction record for Rb2NaH4. The powder XRD pattern is simulated, not measured: it uses a DFT-relaxed cell (PBE, Alexandria) and Cu Kα X-rays.

Atomic structure:
```
Rb2NaH4
1.0
6.168 0.000 0.000
0.000 12.354 0.000
0.000 0.000 5.064
Rb Na H
4 2 8
Cartesian
1.542 0.429 1.263
1.542 5.748 1.263
4.626 6.607 3.801
4.626 11.925 3.801
1.542 9.266 3.783
4.626 3.089 1.281
1.150 9.266 1.254
1.542 7.130 3.793
1.542 11.401 3.793
1.934 9.266 1.254
4.233 3.089 3.810
4.626 0.953 1.271
4.626 5.224 1.271
5.018 3.089 3.810
```

Top 6 peaks for 2θ = 5–70°, low angle first:
- 14.34 deg, I = 60
- 22.72 deg, I = 54
- 26.02 deg, I = 30
- 26.97 deg, I = 100
- 28.94 deg, I = 40
- 40.64 deg, I = 24